1.
Starting from a cell relaxed with GGA-PBE, the powder diffraction line list of AsPtPb was simulated for a wavelength of 1.5418 Å.
Kinematic intensities with the Lorentz-polarization factor, no thermal factor.

Structural model:
```
data_AsPtPb
_chemical_formula_sum 'As4 Pt4 Pb4'
_cell_length_a 6.7097
_cell_length_b 6.6451
_cell_length_c 6.7335
_cell_angle_alpha 90.00
_cell_angle_beta 115.19
_cell_angle_gamma 90.00
_space_group_name_H-M_alt 'P 1'
_space_group_IT_number 1
loop_
_space_group_symop_operation_xyz
'x,y,z'
loop_
_atom_site_label
_atom_site_type_symbol
_atom_site_fract_x
_atom_site_fract_y
_atom_site_fract_z
As1 As 0.1558 0.1352 0.3341
As2 As 0.1558 0.3648 0.8341
As3 As 0.8442 0.6352 0.1659
As4 As 0.8442 0.8648 0.6659
Pt1 Pt 0.2022 0.0203 0.7067
Pt2 Pt 0.2022 0.4797 0.2067
Pt3 Pt 0.7978 0.5203 0.7933
Pt4 Pt 0.7978 0.9797 0.2933
Pb1 Pb 0.3456 0.6367 0.6400
Pb2 Pb 0.3456 0.8633 0.1400
Pb3 Pb 0.6544 0.1367 0.8600
Pb4 Pb 0.6544 0.3633 0.3600
```

Main lines, by intensity (10 to 90 degrees two-theta):
hkl, 2θ (°), d [Å], I (rel.)
2 1 0, 32.4, 2.765, 100
1 2 -1, 31.2, 2.867, 93
1 1 -1, 20.6, 4.315, 64
1 3 1, 48.2, 1.887, 61
1 1 -3, 42.7, 2.117, 57
2 0 0, 29.4, 3.036, 54
3 1 -1, 42.9, 2.110, 50
0 0 2, 29.3, 3.046, 46
3 1 -3, 50.1, 1.819, 42
2 1 -1, 29.9, 2.989, 38
1 3 -1, 43.9, 2.063, 38
0 2 1, 30.7, 2.917, 32

***

2.
Starting from a cell relaxed with GGA-PBE, the powder diffraction line list of Rb3As2Pb2 was simulated for a wavelength of 1.5418 Å.
Kinematic intensities with the Lorentz-polarization factor, no thermal factor.

Structural model:
```
data_Rb3As2Pb2
_chemical_formula_sum 'Rb12 As8 Pb8'
_cell_length_a 7.8525
_cell_length_b 9.0207
_cell_length_c 15.2080
_cell_angle_alpha 90.00
_cell_angle_beta 90.00
_cell_angle_gamma 90.00
_space_group_name_H-M_alt 'P 1'
_space_group_IT_number 1
loop_
_space_group_symop_operation_xyz
'x,y,z'
loop_
_atom_site_label
_atom_site_type_symbol
_atom_site_fract_x
_atom_site_fract_y
_atom_site_fract_z
Rb1 Rb 0.0806 0.0324 0.1203
Rb2 Rb 0.0806 0.0324 0.3797
Rb3 Rb 0.0806 0.4676 0.6203
Rb4 Rb 0.0806 0.4676 0.8797
Rb5 Rb 0.3626 0.6973 0.2500
Rb6 Rb 0.3626 0.8027 0.7500
Rb7 Rb 0.6374 0.1973 0.2500
Rb8 Rb 0.6374 0.3027 0.7500
Rb9 Rb 0.9194 0.5324 0.1203
Rb10 Rb 0.9194 0.5324 0.3797
Rb11 Rb 0.9194 0.9676 0.6203
Rb12 Rb 0.9194 0.9676 0.8797
As1 As 0.2312 0.1724 0.7500
As2 As 0.2312 0.3276 0.2500
As3 As 0.3371 0.7500 0.0000
As4 As 0.3371 0.7500 0.5000
As5 As 0.6629 0.2500 0.0000
As6 As 0.6629 0.2500 0.5000
As7 As 0.7688 0.6724 0.7500
As8 As 0.7688 0.8276 0.2500
Pb1 Pb 0.3601 0.1078 0.5703
Pb2 Pb 0.3601 0.1078 0.9297
Pb3 Pb 0.3601 0.3922 0.0703
Pb4 Pb 0.3601 0.3922 0.4297
Pb5 Pb 0.6399 0.6078 0.5703
Pb6 Pb 0.6399 0.6078 0.9297
Pb7 Pb 0.6399 0.8922 0.0703
Pb8 Pb 0.6399 0.8922 0.4297
```

Main lines, by intensity (10 to 90 degrees two-theta):
hkl, 2θ (°), d [Å], I (rel.)
2 1 3, 30.5, 2.935, 100
1 2 3, 28.8, 3.097, 83
2 1 1, 25.4, 3.503, 64
1 0 0, 11.3, 7.852, 58
1 3 0, 31.9, 2.808, 51
0 2 4, 30.8, 2.907, 50
3 2 3, 43.8, 2.066, 49
1 1 5, 33.1, 2.706, 48
0 2 3, 26.5, 3.370, 47
0 0 2, 11.6, 7.604, 46
3 0 0, 34.3, 2.616, 45
2 3 0, 37.7, 2.387, 40